No. 1
Starting from the GGA-PBE geometry in the Materials Project, the powder diffraction line list of Mg14ZrSn was computed for copper Kα.

Crystal structure
Unit cell a=6.3530 b=6.3530 c=10.4334 alpha=90.00 beta=90.00 gamma=120.00
Space group P-6m2 (No. 187)
Asymmetric unit:
Mg 0.0000 0.0000 0.2426 x2
Mg 0.0089 0.5045 0.2464 x6
Mg 0.3310 0.1655 0.5000 x3
Mg 0.3391 0.1696 0.0000 x3
Zr 0.3333 0.6667 0.0000 x1
Sn 0.3333 0.6667 0.5000 x1

Largest 10 diffraction maxima, by angle, 2θ from 10° to 90°:
| Position (°2θ) | intensity | h k l |
| --- | --- | --- |
| 16.1 | 43 | 1 0 0 |
| 23.5 | 31 | 1 0 2 |
| 32.5 | 29 | 2 0 0 |
| 33.0 | 14 | 1 1 2 |
| 34.4 | 26 | 0 0 4 |
| 36.9 | 100 | 2 0 2 |
| 48.1 | 19 | 2 0 4 |
| 58.1 | 17 | 2 2 0 |
| 63.3 | 20 | 2 0 6 |
| 69.3 | 19 | 2 2 4 |

---

No. 2
Starting from the GGA-PBE geometry in the Materials Project, the powder diffraction line list of Mg6NbCr was computed for copper Kα.

Crystal structure
Unit cell a=4.976 b=6.038 c=10.878 alpha=90.00 beta=90.00 gamma=90.00
Space group Amm2 (No. 38)
Asymmetric unit:
Mg 0.000 0.000 0.000 x2
Mg 0.000 0.000 0.500 x2
Mg 0.000 0.247 0.263 x4
Mg 0.500 0.247 0.594 x4
Nb 0.500 0.000 0.345 x2
Cr 0.500 0.000 0.841 x2

Largest 10 diffraction maxima, by angle, 2θ from 10° to 90°:
| Position (°2θ) | intensity | h k l |
| --- | --- | --- |
| 16.3 | 36 | 0 0 2 |
| 17.8 | 25 | 1 0 0 |
| 24.2 | 21 | 1 0 2 |
| 34.0 | 37 | 0 2 2 |
| 36.1 | 40 | 2 0 0 |
| 37.7 | 57 | 1 0 4 |
| 38.6 | 100 | 1 2 2 |
| 50.4 | 22 | 2 2 2 |
| 66.6 | 18 | 3 2 2 |
| 71.6 | 19 | 2 2 6 |

---

No. 3
Starting from the GGA-PBE geometry in the Materials Project, the powder diffraction line list of ErSI was computed for copper Kα.

Crystal structure
Unit cell a=4.4906 b=4.4906 c=5.1100 alpha=90.00 beta=90.00 gamma=120.00
Space group P-6m2 (No. 187)
Asymmetric unit:
Er 0.0000 0.0000 0.0000 x1
S 0.6667 0.3333 0.0000 x1
I 0.3333 0.6667 0.5000 x1

Largest 10 diffraction maxima, by angle, 2θ from 10° to 90°:
| Position (°2θ) | intensity | h k l |
| --- | --- | --- |
| 22.9 | 19 | 1 0 0 |
| 28.8 | 100 | 1 0 1 |
| 35.1 | 16 | 0 0 2 |
| 40.2 | 34 | 1 1 0 |
| 50.2 | 21 | 2 0 1 |
| 54.4 | 27 | 1 1 2 |
| 59.2 | 13 | 1 0 3 |
| 66.2 | 19 | 2 1 1 |
| 83.7 | 8 | 3 0 2 |
| 87.7 | 9 | 2 1 3 |

---

No. 4
Starting from the GGA-PBE geometry in the Materials Project, the powder diffraction line list of K4GeO4 was computed for copper Kα.

Crystal structure
Unit cell a=10.601 b=6.658 c=10.670 alpha=90.00 beta=111.43 gamma=90.00
Space group P2_1/c (No. 14)
Asymmetric unit:
K 0.056 0.091 0.192 x4
K 0.161 0.605 0.088 x4
K 0.366 0.664 0.889 x4
K 0.429 0.194 0.798 x4
Ge 0.243 0.134 0.992 x4
O 0.081 0.244 0.967 x4
O 0.226 0.503 0.342 x4
O 0.300 0.529 0.638 x4
O 0.366 0.167 0.522 x4

Largest 10 diffraction maxima, by angle, 2θ from 10° to 90°:
| Position (°2θ) | intensity | h k l |
| --- | --- | --- |
| 16.0 | 43 | 1 1 0 |
| 18.0 | 19 | 2 0 0 |
| 21.5 | 30 | 1 1 -2 |
| 29.7 | 97 | 3 1 -2 |
| 29.8 | 51 | 2 0 2 |
| 30.7 | 100 | 1 2 1 |
| 36.5 | 63 | 1 1 -4 |
| 36.8 | 53 | 4 1 -1 |
| 49.1 | 24 | 2 3 -3 |
| 53.5 | 23 | 3 2 3 |

---

No. 5
Starting from the GGA-PBE geometry in the Materials Project, the powder diffraction line list of CsHfMg6 was computed for copper Kα.

Crystal structure
Unit cell a=4.618 b=9.831 c=9.866 alpha=90.00 beta=90.00 gamma=90.00
Space group Amm2 (No. 38)
Asymmetric unit:
Cs 0.000 0.000 0.000 x2
Hf 0.000 0.000 0.503 x2
Mg 0.000 0.246 0.254 x4
Mg 0.500 0.000 0.291 x2
Mg 0.500 0.000 0.714 x2
Mg 0.500 0.213 0.505 x4

Largest 10 diffraction maxima, by angle, 2θ from 10° to 90°:
| Position (°2θ) | intensity | h k l |
| --- | --- | --- |
| 18.0 | 68 | 0 0 2 |
| 19.2 | 28 | 1 0 0 |
| 25.6 | 31 | 0 2 2 |
| 26.5 | 50 | 1 2 0 |
| 32.2 | 100 | 1 2 2 |
| 36.4 | 17 | 0 0 4 |
| 36.6 | 17 | 0 4 0 |
| 39.0 | 16 | 2 0 0 |
| 45.6 | 27 | 1 2 4 |
| 54.5 | 21 | 2 4 0 |

---

No. 6
Starting from the GGA-PBE geometry in the Materials Project, the powder diffraction line list of LiPrS2O8 was computed for copper Kα.

Crystal structure
Unit cell a=7.766 b=7.766 c=6.206 alpha=90.00 beta=90.00 gamma=90.00
Space group P-4n2 (No. 118)
Asymmetric unit:
Li 0.000 0.500 0.250 x2
Pr 0.000 0.500 0.750 x2
S 0.220 0.280 0.250 x4
O 0.092 0.322 0.073 x8
O 0.102 0.798 0.668 x8

Largest 10 diffraction maxima, by angle, 2θ from 10° to 90°:
| Position (°2θ) | intensity | h k l |
| --- | --- | --- |
| 16.1 | 100 | 1 1 0 |
| 18.3 | 82 | 1 0 1 |
| 21.6 | 59 | 1 1 1 |
| 28.8 | 21 | 0 0 2 |
| 29.5 | 64 | 2 1 1 |
| 32.6 | 21 | 2 2 0 |
| 33.2 | 21 | 1 1 2 |
| 37.6 | 40 | 3 0 1 |
| 44.0 | 25 | 2 2 2 |
| 47.2 | 28 | 3 1 2 |